Calculated powder diffractogram
Compound: TbPmPr2Sm
Radiation: Cu Kα, 1.54184 Å
Structure: a GGA-PBE-relaxed structure
Lines closer than 0.1° are merged.

Structural model:
```
data_TbPmPr2Sm
_chemical_formula_sum 'Tb2 Pm2 Pr4 Sm2'
_cell_length_a 8.222
_cell_length_b 6.800
_cell_length_c 6.324
_cell_angle_alpha 90.00
_cell_angle_beta 90.04
_cell_angle_gamma 90.00
_symmetry_space_group_name_H-M 'P 1'
_symmetry_Int_Tables_number 1
loop_
_symmetry_equiv_pos_as_xyz
'x,y,z'
loop_
_atom_site_label
_atom_site_fract_x
_atom_site_fract_y
_atom_site_fract_z
Tb1 0.000 0.161 0.250
Tb2 0.000 0.839 0.750
Pm1 0.500 0.419 0.250
Pm2 0.500 0.581 0.750
Pr1 0.197 0.303 0.751
Pr2 0.197 0.697 0.251
Pr3 0.803 0.303 0.749
Pr4 0.803 0.697 0.249
Sm1 0.500 0.000 0.000
Sm2 0.500 0.000 0.500
```

The 12 most intense peaks (2θ = 10–80°), sorted by position:
| 2θ/deg | I_rel |
| --- | --- |
| 28.22 | 301 |
| 28.40 | 420 |
| 29.04 | 1000 |
| 31.19 | 200 |
| 31.80 | 482 |
| 33.09 | 452 |
| 34.22 | 209 |
| 38.15 | 233 |
| 38.89 | 175 |
| 45.77 | 197 |
| 50.47 | 217 |
| 54.55 | 192 |

Calculated powder diffractogram
Compound: TbPm3PrSm
Radiation: Cu Kα, 1.54184 Å
Structure: a GGA-PBE-relaxed structure
Lines closer than 0.1° are merged.

Structural model:
```
data_TbPm3PrSm
_chemical_formula_sum 'Tb2 Pm6 Pr2 Sm2'
_cell_length_a 8.137
_cell_length_b 5.160
_cell_length_c 10.296
_cell_angle_alpha 90.00
_cell_angle_beta 108.50
_cell_angle_gamma 90.00
_symmetry_space_group_name_H-M 'P 1'
_symmetry_Int_Tables_number 1
loop_
_symmetry_equiv_pos_as_xyz
'x,y,z'
loop_
_atom_site_label
_atom_site_fract_x
_atom_site_fract_y
_atom_site_fract_z
Tb1 0.000 0.250 0.125
Tb2 0.000 0.750 0.875
Pm1 0.331 0.250 0.958
Pm2 0.332 0.250 0.458
Pm3 0.332 0.750 0.709
Pm4 0.668 0.250 0.291
Pm5 0.668 0.750 0.542
Pm6 0.669 0.750 0.042
Pr1 0.332 0.750 0.208
Pr2 0.668 0.250 0.792
Sm1 0.001 0.250 0.625
Sm2 0.999 0.750 0.375
```

The 10 most intense peaks (2θ = 10–80°), sorted by position:
| 2θ/deg | I_rel |
| --- | --- |
| 30.05 | 1000 |
| 34.81 | 339 |
| 34.88 | 168 |
| 50.08 | 303 |
| 50.17 | 60 |
| 59.44 | 145 |
| 59.57 | 287 |
| 62.46 | 124 |
| 73.39 | 19 |
| 73.63 | 38 |

Calculated powder diffractogram
Compound: Tb2Pm4Pr2Sm
Radiation: Cu Kα, 1.54184 Å
Structure: a GGA-PBE-relaxed structure
Lines closer than 0.1° are merged.

Structural model:
```
data_Tb2Pm4Pr2Sm
_chemical_formula_sum 'Tb2 Pm4 Pr2 Sm1'
_cell_length_a 9.706
_cell_length_b 9.706
_cell_length_c 9.766
_cell_angle_alpha 115.19
_cell_angle_beta 115.19
_cell_angle_gamma 21.83
_symmetry_space_group_name_H-M 'P 1'
_symmetry_Int_Tables_number 1
loop_
_symmetry_equiv_pos_as_xyz
'x,y,z'
loop_
_atom_site_label
_atom_site_fract_x
_atom_site_fract_y
_atom_site_fract_z
Tb1 0.148 0.148 0.166
Tb2 0.852 0.852 0.834
Pm1 0.186 0.186 0.834
Pm2 0.481 0.481 0.165
Pm3 0.519 0.519 0.835
Pm4 0.814 0.814 0.166
Pr1 0.334 0.334 0.501
Pr2 0.666 0.666 0.499
Sm1 0.000 0.000 0.500
```

The 12 most intense peaks (2θ = 10–80°), sorted by position:
| 2θ/deg | I_rel |
| --- | --- |
| 28.26 | 362 |
| 28.88 | 167 |
| 30.47 | 506 |
| 31.22 | 1000 |
| 32.87 | 891 |
| 39.34 | 140 |
| 49.65 | 391 |
| 53.53 | 144 |
| 56.75 | 192 |
| 59.33 | 153 |
| 59.41 | 304 |
| 60.84 | 152 |

Calculated powder diffractogram
Compound: TbPm2PrSm6
Radiation: Cu Kα, 1.54184 Å
Structure: a GGA-PBE-relaxed structure
Lines closer than 0.1° are merged.

Structural model:
```
data_TbPm2PrSm6
_chemical_formula_sum 'Tb2 Pm4 Pr2 Sm12'
_cell_length_a 8.922
_cell_length_b 8.922
_cell_length_c 9.915
_cell_angle_alpha 94.70
_cell_angle_beta 94.70
_cell_angle_gamma 118.25
_symmetry_space_group_name_H-M 'P 1'
_symmetry_Int_Tables_number 1
loop_
_symmetry_equiv_pos_as_xyz
'x,y,z'
loop_
_atom_site_label
_atom_site_fract_x
_atom_site_fract_y
_atom_site_fract_z
Tb1 0.019 0.981 0.750
Tb2 0.981 0.019 0.250
Pm1 0.189 0.291 0.542
Pm2 0.291 0.189 0.042
Pm3 0.709 0.811 0.958
Pm4 0.811 0.709 0.458
Pr1 0.405 0.595 0.250
Pr2 0.595 0.405 0.750
Sm1 0.025 0.577 0.685
Sm2 0.121 0.748 0.056
Sm3 0.252 0.879 0.444
Sm4 0.293 0.500 0.878
Sm5 0.423 0.975 0.815
Sm6 0.500 0.293 0.378
Sm7 0.500 0.707 0.622
Sm8 0.577 0.025 0.185
Sm9 0.707 0.500 0.122
Sm10 0.748 0.121 0.556
Sm11 0.879 0.252 0.944
Sm12 0.975 0.423 0.315
```

The 12 most intense peaks (2θ = 10–80°), sorted by position:
| 2θ/deg | I_rel |
| --- | --- |
| 28.16 | 664 |
| 29.77 | 623 |
| 30.18 | 873 |
| 30.82 | 724 |
| 31.03 | 549 |
| 31.27 | 1000 |
| 31.72 | 318 |
| 32.77 | 895 |
| 33.32 | 220 |
| 56.83 | 241 |
| 59.49 | 218 |
| 61.44 | 207 |

Calculated powder diffractogram
Compound: TbPmPr6Sm2
Radiation: Cu Kα, 1.54184 Å
Structure: a GGA-PBE-relaxed structure
Lines closer than 0.1° are merged.

Structural model:
```
data_TbPmPr6Sm2
_chemical_formula_sum 'Tb2 Pm2 Pr12 Sm4'
_cell_length_a 9.144
_cell_length_b 9.144
_cell_length_c 9.310
_cell_angle_alpha 91.18
_cell_angle_beta 91.18
_cell_angle_gamma 115.00
_symmetry_space_group_name_H-M 'P 1'
_symmetry_Int_Tables_number 1
loop_
_symmetry_equiv_pos_as_xyz
'x,y,z'
loop_
_atom_site_label
_atom_site_fract_x
_atom_site_fract_y
_atom_site_fract_z
Tb1 0.072 0.928 0.750
Tb2 0.928 0.072 0.250
Pm1 0.438 0.562 0.250
Pm2 0.562 0.438 0.750
Pr1 0.033 0.473 0.180
Pr2 0.067 0.786 0.405
Pr3 0.214 0.933 0.095
Pr4 0.273 0.577 0.579
Pr5 0.423 0.727 0.921
Pr6 0.473 0.033 0.680
Pr7 0.527 0.967 0.320
Pr8 0.577 0.273 0.079
Pr9 0.727 0.423 0.421
Pr10 0.786 0.067 0.905
Pr11 0.933 0.214 0.595
Pr12 0.967 0.527 0.820
Sm1 0.203 0.298 0.935
Sm2 0.298 0.203 0.435
Sm3 0.702 0.797 0.565
Sm4 0.797 0.702 0.065
```

The 12 most intense peaks (2θ = 10–80°), sorted by position:
| 2θ/deg | I_rel |
| --- | --- |
| 27.16 | 221 |
| 27.65 | 406 |
| 28.38 | 402 |
| 29.15 | 445 |
| 29.34 | 462 |
| 29.45 | 495 |
| 29.85 | 362 |
| 30.79 | 568 |
| 31.09 | 1000 |
| 31.24 | 392 |
| 31.78 | 311 |
| 32.00 | 299 |

Calculated powder diffractogram
Compound: TbPm2PrSm
Radiation: Cu Kα, 1.54184 Å
Structure: a GGA-PBE-relaxed structure
Lines closer than 0.1° are merged.

Structural model:
```
data_TbPm2PrSm
_chemical_formula_sum 'Tb2 Pm4 Pr2 Sm2'
_cell_length_a 8.373
_cell_length_b 6.687
_cell_length_c 6.290
_cell_angle_alpha 90.00
_cell_angle_beta 92.45
_cell_angle_gamma 90.00
_symmetry_space_group_name_H-M 'P 1'
_symmetry_Int_Tables_number 1
loop_
_symmetry_equiv_pos_as_xyz
'x,y,z'
loop_
_atom_site_label
_atom_site_fract_x
_atom_site_fract_y
_atom_site_fract_z
Tb1 0.000 0.162 0.250
Tb2 0.000 0.838 0.750
Pm1 0.192 0.308 0.765
Pm2 0.192 0.692 0.265
Pm3 0.808 0.308 0.735
Pm4 0.808 0.692 0.235
Pr1 0.500 0.000 0.000
Pr2 0.500 0.000 0.500
Sm1 0.500 0.429 0.250
Sm2 0.500 0.571 0.750
```

The 12 most intense peaks (2θ = 10–80°), sorted by position:
| 2θ/deg | I_rel |
| --- | --- |
| 21.24 | 218 |
| 28.43 | 1000 |
| 28.75 | 574 |
| 29.37 | 641 |
| 31.46 | 272 |
| 31.95 | 349 |
| 32.10 | 228 |
| 32.37 | 274 |
| 32.87 | 253 |
| 33.68 | 297 |
| 34.34 | 262 |
| 44.62 | 260 |